Computed powder diffractogram of Cs5Te2S6 for Cu Kα, 1.54184 Å, from a crystal structure in Alexandria, relaxed with GGA-PBE.

Cell and atoms:
a b c (Å): 14.0517 14.0909 5.4309
angles (deg): 90.00 90.00 90.00
Space group Pbam (No. 55)
One atom of each set of equivalent atoms:
Cs (0.0000, 0.0000, 0.0000) [2 per cell]
Cs (0.0409, 0.2861, 0.0000) [4 per cell]
Cs (0.2165, 0.5260, 0.0000) [4 per cell]
Te (0.2142, 0.7315, 0.5000) [4 per cell]
S (0.0895, 0.6163, 0.5000) [4 per cell]
S (0.1407, 0.1333, 0.5000) [4 per cell]
S (0.2046, 0.7764, 0.0000) [4 per cell]

Main lines, by angle (2θ = 10–80°):
19.95 deg, d = 4.451 Å, I = 40; 20.66 deg, d = 4.299 Å, I = 58; 24.26 deg, d = 3.668 Å, I = 100; 25.31 deg, d = 3.519 Å, I = 70; 25.89 deg, d = 3.442 Å, I = 42; 26.14 deg, d = 3.409 Å, I = 42; 30.27 deg, d = 2.953 Å, I = 51; 30.93 deg, d = 2.891 Å, I = 39; 31.61 deg, d = 2.831 Å, I = 41; 32.99 deg, d = 2.715 Å, I = 63